Simulated powder diffraction line list
Compound: Na2Te2O5
Radiation: CuKα
Structure: a structure optimized by DFT (GGA-PBE)
Neutral-atom scattering factors, no anomalous dispersion.

Structural model:
```
data_Na2Te2O5
_chemical_formula_sum 'Na16 Te16 O40'
_space_group_name_H-M_alt 'C 1 2/c 1'
_space_group_IT_number 15
_cell_length_a 23.9085
_cell_length_b 4.9764
_cell_length_c 9.9712
_cell_angle_alpha 90.00
_cell_angle_beta 102.86
_cell_angle_gamma 90.00
loop_
_space_group_symop_operation_xyz
'x,y,z'
'-x,-y,-z'
'-x,y,-z+1/2'
'x,-y,z+1/2'
'x+1/2,y+1/2,z'
'-x+1/2,-y+1/2,-z'
'-x+1/2,y+1/2,-z+1/2'
'x+1/2,-y+1/2,z+1/2'
loop_
_atom_site_label
_atom_site_fract_x
_atom_site_fract_y
_atom_site_fract_z
Na1 0.0516 0.0121 0.4118
Na2 0.1712 0.0102 0.7056
Te1 0.0591 0.4890 0.1805
Te2 0.1892 0.4046 0.4527
O1 0.0448 0.4777 0.8620
O2 0.0522 0.1149 0.1550
O3 0.1451 0.4926 0.2500
O4 0.1480 0.0922 0.4634
O5 0.2464 0.2482 0.3658
```

Top 8 peaks for 2θ from 15° to 90°, by angle:
d_spacing	I (rel.)
4.873	100
4.435	40
4.223	33
4.169	24
3.028	71
3.001	65
2.914	48
2.491	58